No. 1
Structure and computed powder X-ray diffraction pattern of CaTeAuSeS (the GGA-PBE geometry in Alexandria; copper Kα).

Principal peaks in the range 10° ≤ 2θ ≤ 90°, low angle first:
| 2θ (°) | I (rel.) | h k l |
| --- | --- | --- |
| 10.61 | 100 | 0 0 1 |
| 22.70 | 21 | 0 1 0 |
| 24.42 | 23 | 1 0 0 |
| 25.83 | 46 | 0 1 -1 |
| 28.48 | 38 | 1 1 2 |
| 35.52 | 23 | 1 0 -2 |
| 35.64 | 23 | 1 1 3 |
| 40.69 | 13 | 1 2 1 |
| 41.39 | 14 | 1 -1 1 |
| 42.93 | 15 | -1 1 1 |
| 43.01 | 16 | 2 1 1 |
| 50.85 | 16 | 2 0 2 |

Structural model:
```
CaTeAuSeS
1.0
4.2063 0.0000 0.0000
2.0999 3.9281 0.0000
2.0737 0.6150 8.3385
Ca Te Au Se S
1 1 1 1 1
Direct
0.0000 0.0000 0.0000
0.0846 0.3780 0.4481
0.3613 0.6675 0.6055
0.7689 0.6606 0.7986
0.2617 0.3296 0.1496
```



No. 2
Structure and computed powder X-ray diffraction pattern of CaTeAuSeS (the GGA-PBE geometry in Alexandria; copper Kα).

Principal peaks in the range 10° ≤ 2θ ≤ 90°, low angle first:
| 2θ (°) | I (rel.) | h k l |
| --- | --- | --- |
| 12.83 | 100 | 0 0 1 |
| 22.80 | 13 | 0 1 -1 |
| 25.83 | 36 | 0 0 2 |
| 28.61 | 32 | 1 -1 0 |
| 30.87 | 40 | 1 1 -1 |
| 31.08 | 38 | 1 1 0 |
| 32.77 | 40 | 1 -1 1 |
| 36.68 | 30 | -1 1 2 |
| 39.17 | 20 | 0 0 3 |
| 41.63 | 21 | 0 2 -1 |
| 44.63 | 31 | 2 0 0 |
| 46.45 | 16 | 2 0 -2 |

Structural model:
```
CaTeAuSeS
1.0
4.1754 0.0000 0.0000
-0.2710 4.4485 0.0000
-1.5839 -0.6614 6.8993
Ca Te Au Se S
1 1 1 1 1
Direct
0.0000 0.0000 0.0000
0.0027 0.7569 0.5428
0.5006 0.2901 0.5778
0.4741 0.4828 0.9162
0.6182 0.0309 0.2958
```



No. 3
Structure and computed powder X-ray diffraction pattern of CaTeAuSeS (the GGA-PBE geometry in Alexandria; copper Kα).

Principal peaks in the range 10° ≤ 2θ ≤ 90°, low angle first:
| 2θ (°) | I (rel.) | h k l |
| --- | --- | --- |
| 11.09 | 100 | 0 0 1 |
| 22.29 | 14 | 0 0 2 |
| 23.57 | 35 | 1 0 -1 |
| 30.36 | 27 | 1 0 -2 |
| 31.32 | 29 | 1 1 0 |
| 32.14 | 27 | 0 1 2 |
| 33.55 | 59 | 1 1 1 |
| 39.20 | 16 | 1 1 2 |
| 41.12 | 28 | 0 1 3 |
| 46.71 | 13 | 0 2 0 |
| 50.27 | 14 | 2 1 -1 |
| 56.71 | 13 | 1 2 -2 |

Structural model:
```
CaTeAuSeS
1.0
4.2126 0.0000 0.0000
0.0000 3.8896 0.0000
-0.2628 0.0000 7.9767
Ca Te Au Se S
1 1 1 1 1
Direct
0.0000 0.0000 0.0000
0.6959 0.5000 0.6157
0.3561 0.0000 0.4457
0.0320 0.5000 0.2987
0.4923 0.5000 0.9228
```